Starting from a DFT-relaxed cell (PBE, Alexandria), the powder X-ray diffraction pattern of PmSmAlPd was computed for Cu Kα.

Top 8 peaks for 10 to 80 degrees two-theta, low angle first:
| d (Å) | 2θ (°) | I_rel |
| --- | --- | --- |
| 3.536 | 25.19 | 35.0 |
| 2.871 | 31.15 | 23.0 |
| 2.854 | 31.34 | 100.0 |
| 2.734 | 32.75 | 51.4 |
| 2.419 | 37.17 | 28.3 |
| 2.335 | 38.56 | 37.2 |
| 2.244 | 40.19 | 26.2 |
| 1.734 | 52.78 | 26.6 |

Structural model:
Unit cell a=4.487 b=6.066 c=6.066 alpha=37.57 beta=90.00 gamma=90.00
Element x y z (fractional)
1 Pm 0.000 0.000 0.000
2 Sm 0.500 0.292 0.292
3 Al 0.000 0.715 0.715
4 Pd 0.500 0.578 0.578